(1)
Diffraction record for Ba2CuS2Br2. The powder X-ray diffraction pattern is calculated, not measured: it uses a structure optimized by DFT (GGA-PBE) and CuKα.

Largest 8 diffraction maxima, low angle first, 15 to 90 degrees two-theta:
| index | d [Å] | I (rel.) |
| --- | --- | --- |
| 1 0 3 | 3.612 | 1000 |
| 1 1 0 | 3.591 | 438 |
| 1 1 2 | 3.255 | 500 |
| 1 1 4 | 2.627 | 856 |
| 0 0 6 | 2.569 | 411 |
| 2 0 0 | 2.539 | 979 |
| 2 1 3 | 2.077 | 451 |
| 2 0 6 | 1.806 | 554 |

Cell and atoms:
Unit cell a=5.079 b=5.079 c=15.415 alpha=90.00 beta=90.00 gamma=90.00
Space group I4/mmm (No. 139)
Unique sites:
1 Ba 0.000 0.000 0.150 (multiplicity 4)
2 Cu 0.000 0.000 0.500 (multiplicity 2)
3 S 0.000 0.000 0.344 (multiplicity 4)
4 Br 0.000 0.500 0.000 (multiplicity 4)


(2)
Diffraction record for CaPrAg2O6. The powder X-ray diffraction pattern is calculated, not measured: it uses a structure optimized by DFT (GGA-PBE) and CuKα.

Largest 8 diffraction maxima, low angle first, 15 to 90 degrees two-theta:
| index | d [Å] | I (rel.) |
| --- | --- | --- |
| 1 0 1 | 4.609 | 127 |
| 0 2 0 | 2.968 | 218 |
| 2 1 1 | 2.858 | 1000 |
| 0 0 2 | 2.821 | 226 |
| 0 2 2 | 2.045 | 218 |
| 4 0 0 | 1.999 | 130 |
| 2 3 1 | 1.692 | 121 |
| 2 1 3 | 1.636 | 224 |

Cell and atoms:
Unit cell a=7.995 b=5.935 c=5.641 alpha=90.00 beta=90.00 gamma=90.00
Space group Pmn2_1 (No. 31)
Unique sites:
1 Ca 0.000 0.184 0.000 (multiplicity 2)
2 Pr 0.000 0.685 0.542 (multiplicity 2)
3 Ag 0.249 0.247 0.521 (multiplicity 4)
4 O 0.000 0.295 0.403 (multiplicity 2)
5 O 0.000 0.797 0.133 (multiplicity 2)
6 O 0.191 0.452 0.819 (multiplicity 4)
7 O 0.191 0.953 0.722 (multiplicity 4)


(3)
Diffraction record for LuNiSn. The powder X-ray diffraction pattern is calculated, not measured: it uses a structure optimized by DFT (GGA-PBE) and CuKα.

Largest 8 diffraction maxima, low angle first, 15 to 90 degrees two-theta:
| index | d [Å] | I (rel.) |
| --- | --- | --- |
| 1 1 2 | 2.666 | 460 |
| 2 1 1 | 2.577 | 1000 |
| 2 0 2 | 2.565 | 380 |
| 0 2 0 | 2.220 | 577 |
| 0 1 3 | 2.200 | 483 |
| 2 2 2 | 1.679 | 213 |
| 3 2 1 | 1.570 | 135 |
| 3 1 4 | 1.395 | 220 |

Cell and atoms:
Unit cell a=6.958 b=4.443 c=7.595 alpha=90.00 beta=90.00 gamma=90.00
Space group Pnma (No. 62)
Unique sites:
1 Lu 0.012 0.250 0.202 (multiplicity 4)
2 Ni 0.204 0.750 0.418 (multiplicity 4)
3 Sn 0.191 0.250 0.589 (multiplicity 4)


(4)
Diffraction record for Pm2AlCd. The powder X-ray diffraction pattern is calculated, not measured: it uses a structure optimized by DFT (GGA-PBE) and CuKα.

Largest 8 diffraction maxima, low angle first, 15 to 90 degrees two-theta:
| index | d [Å] | I (rel.) |
| --- | --- | --- |
| 1 1 1 | 4.360 | 93 |
| 2 0 0 | 3.776 | 147 |
| 2 2 0 | 2.670 | 1000 |
| 4 0 0 | 1.888 | 179 |
| 4 2 0 | 1.689 | 64 |
| 4 2 2 | 1.542 | 369 |
| 4 4 0 | 1.335 | 113 |
| 6 2 0 | 1.194 | 158 |

Cell and atoms:
Unit cell a=7.552 b=7.552 c=7.552 alpha=90.00 beta=90.00 gamma=90.00
Space group Fm-3m (No. 225)
Unique sites:
1 Pm 0.250 0.250 0.250 (multiplicity 8)
2 Al 0.000 0.000 0.000 (multiplicity 4)
3 Cd 0.000 0.000 0.500 (multiplicity 4)